Record 1
For PaBeCuNi6, a structure optimized by DFT (PBE) gives the simulated X-ray diffraction stick pattern in this record (λ = 1.5418 Å (Cu Kα)).
Neutral-atom scattering factors, no anomalous dispersion.

Cell and atoms:
Cell: 5.9823 7.8037 9.9560 Å, 90.00 90.00 90.00°
Space group Imma (No. 74)
Unique sites:
Pa 0.0000 0.2500 0.2038 (multiplicity 4)
Be 0.0000 0.0000 0.0000 (multiplicity 4)
Cu 0.2500 0.2500 0.7500 (multiplicity 4)
Ni 0.0000 0.2500 0.5017 (multiplicity 4)
Ni 0.0000 0.2500 0.9327 (multiplicity 4)
Ni 0.2068 0.0091 0.3769 (multiplicity 16)

The 10 most intense peaks (2θ = 10–90°), low angle first:
(0 1 1), 14.4°, d 6.142, intensity 65; (0 0 2), 17.8°, d 4.978, intensity 22; (2 1 1), 33.3°, d 2.689, intensity 69; (2 2 0), 37.9°, d 2.374, intensity 100; (1 2 3), 38.7°, d 2.329, intensity 55; (1 1 4), 40.9°, d 2.204, intensity 46; (2 1 3), 42.3°, d 2.137, intensity 48; (0 2 4), 43.1°, d 2.098, intensity 60; (0 4 0), 46.6°, d 1.951, intensity 51; (2 3 1), 47.2°, d 1.926, intensity 37



Record 2
For Tm2Be3Cu12Ni, a structure optimized by DFT (PBE) gives the simulated X-ray diffraction stick pattern in this record (λ = 1.5418 Å (Cu Kα)).
Neutral-atom scattering factors, no anomalous dispersion.

Cell and atoms:
Cell: 8.5491 8.5491 11.7224 Å, 90.00 90.00 120.00°
Space group R-3m (No. 166, hexagonal axes)
Unique sites:
Tm 0.0000 0.0000 0.2221 (multiplicity 6)
Be 0.0000 0.5000 0.0000 (multiplicity 9)
Cu 0.0128 0.5064 0.1956 (multiplicity 18)
Cu 0.0338 0.5169 0.6036 (multiplicity 18)
Ni 0.0000 0.0000 0.5000 (multiplicity 3)

The 10 most intense peaks (2θ = 10–90°), low angle first:
(0 0 3), 22.8°, d 3.907, intensity 21; (2 0 2), 28.5°, d 3.130, intensity 41; (1 0 4), 32.9°, d 2.725, intensity 23; (1 2 2), 35.5°, d 2.525, intensity 24; (2 2 0), 42.3°, d 2.137, intensity 100; (2 1 4), 44.8°, d 2.024, intensity 21; (2 0 5), 45.8°, d 1.981, intensity 57; (2 2 3), 48.6°, d 1.875, intensity 17; (0 4 5), 64.1°, d 1.453, intensity 18; (4 2 5), 79.8°, d 1.201, intensity 16



Record 3
For BeCuPb2, a structure optimized by DFT (PBE) gives the simulated X-ray diffraction stick pattern in this record (λ = 1.5418 Å (Cu Kα)).
Neutral-atom scattering factors, no anomalous dispersion.

Cell and atoms:
Cell: 6.8659 3.9632 6.9209 Å, 90.00 107.53 90.00°
Space group Cm (No. 8)
Unique sites:
Be 0.0000 0.0000 0.0000 (multiplicity 2)
Cu 0.3325 0.0000 0.9987 (multiplicity 2)
Pb 0.0853 0.5000 0.7333 (multiplicity 2)
Pb 0.2472 0.5000 0.2652 (multiplicity 2)

The 10 most intense peaks (2θ = 10–90°), low angle first:
(1 1 0), 26.3°, d 3.390, intensity 100; (2 0 -1), 26.5°, d 3.363, intensity 40; (0 0 2), 27.0°, d 3.300, intensity 47; (1 1 1), 31.5°, d 2.841, intensity 47; (2 0 -2), 32.2°, d 2.780, intensity 30; (2 0 1), 34.0°, d 2.634, intensity 42; (1 1 -2), 34.9°, d 2.574, intensity 87; (1 1 2), 41.0°, d 2.199, intensity 43; (0 2 0), 45.8°, d 1.981, intensity 77; (2 2 1), 58.3°, d 1.584, intensity 34



Record 4
For BeCu2PdPb, a structure optimized by DFT (PBE) gives the simulated X-ray diffraction stick pattern in this record (λ = 1.5418 Å (Cu Kα)).
Neutral-atom scattering factors, no anomalous dispersion.

Cell and atoms:
Cell: 4.2955 4.2955 4.3475 Å, 90.00 90.00 90.00°
Space group P4/mmm (No. 123)
Unique sites:
Be 0.0000 0.0000 0.0000 (multiplicity 1)
Cu 0.0000 0.5000 0.0000 (multiplicity 2)
Pd 0.0000 0.0000 0.5000 (multiplicity 1)
Pb 0.5000 0.5000 0.5000 (multiplicity 1)

The 10 most intense peaks (2θ = 10–90°), low angle first:
(0 0 1), 20.4°, d 4.347, intensity 14; (1 1 0), 29.4°, d 3.037, intensity 14; (1 1 1), 36.1°, d 2.490, intensity 100; (0 0 2), 41.5°, d 2.174, intensity 18; (2 0 0), 42.1°, d 2.148, intensity 34; (2 0 2), 60.6°, d 1.528, intensity 23; (2 2 0), 61.0°, d 1.519, intensity 11; (1 1 3), 72.2°, d 1.308, intensity 13; (3 1 1), 73.0°, d 1.297, intensity 25; (2 2 2), 76.5°, d 1.245, intensity 11



Record 5
For BeCu3Pd6, a structure optimized by DFT (PBE) gives the simulated X-ray diffraction stick pattern in this record (λ = 1.5418 Å (Cu Kα)).
Neutral-atom scattering factors, no anomalous dispersion.

Cell and atoms:
Cell: 7.2031 5.1429 10.3852 Å, 90.00 133.17 90.00°
Space group P2_1/c (No. 14)
Unique sites:
Be 0.0000 0.0000 0.0000 (multiplicity 2)
Cu 0.2290 0.2487 0.7401 (multiplicity 4)
Cu 0.5000 0.0000 0.5000 (multiplicity 2)
Pd 0.1069 0.1114 0.4416 (multiplicity 4)
Pd 0.2530 0.5909 0.4357 (multiplicity 4)
Pd 0.3923 0.7333 0.2427 (multiplicity 4)

The 10 most intense peaks (2θ = 10–90°), low angle first:
(1 2 -1), 37.1°, d 2.422, intensity 60; (1 0 2), 37.6°, d 2.392, intensity 49; (1 0 -4), 37.9°, d 2.373, intensity 96; (2 1 0), 38.5°, d 2.339, intensity 76; (2 1 -4), 38.9°, d 2.315, intensity 64; (1 2 -2), 39.1°, d 2.304, intensity 43; (3 1 -3), 41.5°, d 2.175, intensity 77; (0 2 2), 42.5°, d 2.127, intensity 100; (3 1 -2), 43.1°, d 2.097, intensity 78; (3 1 -4), 43.4°, d 2.084, intensity 58



Record 6
For Be11Cu9Pd4, a structure optimized by DFT (PBE) gives the simulated X-ray diffraction stick pattern in this record (λ = 1.5418 Å (Cu Kα)).
Neutral-atom scattering factors, no anomalous dispersion.

Cell and atoms:
Cell: 11.0510 16.5490 2.7896 Å, 90.00 90.00 90.00°
Space group Cmm2 (No. 35)
Unique sites:
Be 0.0000 0.0000 0.0000 (multiplicity 2)
Be 0.0000 0.1708 0.0000 (multiplicity 4)
Be 0.0000 0.3338 0.9987 (multiplicity 4)
Be 0.2339 0.0000 0.9991 (multiplicity 4)
Be 0.2407 0.1723 0.9992 (multiplicity 8)
Cu 0.0000 0.5000 0.9983 (multiplicity 2)
Cu 0.1164 0.0860 0.5006 (multiplicity 8)
Cu 0.1224 0.2501 0.4999 (multiplicity 8)
Pd 0.1411 0.4107 0.4983 (multiplicity 8)

The 10 most intense peaks (2θ = 10–90°), low angle first:
(0 2 0), 10.7°, d 8.275, intensity 8; (0 0 1), 32.1°, d 2.790, intensity 43; (0 6 0), 32.4°, d 2.760, intensity 79; (0 6 1), 46.3°, d 1.962, intensity 100; (4 6 0), 46.5°, d 1.952, intensity 47; (4 6 1), 57.6°, d 1.599, intensity 27; (0 0 2), 67.1°, d 1.395, intensity 8; (0 12 1), 77.2°, d 1.236, intensity 9; (4 6 2), 85.6°, d 1.135, intensity 15; (4 12 1), 86.1°, d 1.129, intensity 25



Record 7
For BeCu2Pd, a structure optimized by DFT (PBE) gives the simulated X-ray diffraction stick pattern in this record (λ = 1.5418 Å (Cu Kα)).
Neutral-atom scattering factors, no anomalous dispersion.

Cell and atoms:
Cell: 3.5000 3.5000 3.8879 Å, 90.00 90.00 90.00°
Space group P4/mmm (No. 123)
Unique sites:
Be 0.0000 0.0000 0.0000 (multiplicity 1)
Cu 0.0000 0.5000 0.5000 (multiplicity 2)
Pd 0.5000 0.5000 0.0000 (multiplicity 1)

The 10 most intense peaks (2θ = 10–90°), low angle first:
(1 0 0), 25.4°, d 3.500, intensity 34; (1 0 1), 34.5°, d 2.601, intensity 31; (1 1 1), 43.3°, d 2.088, intensity 100; (0 0 2), 46.7°, d 1.944, intensity 20; (2 0 0), 52.3°, d 1.750, intensity 28; (1 0 2), 54.0°, d 1.699, intensity 9; (2 1 1), 64.1°, d 1.452, intensity 10; (2 0 2), 72.7°, d 1.301, intensity 20; (2 2 0), 77.1°, d 1.237, intensity 8; (1 1 3), 84.4°, d 1.148, intensity 13



Record 8
For Be2Cu3Pd4, a structure optimized by DFT (PBE) gives the simulated X-ray diffraction stick pattern in this record (λ = 1.5418 Å (Cu Kα)).
Neutral-atom scattering factors, no anomalous dispersion.

Cell and atoms:
Cell: 4.0990 4.0990 7.7989 Å, 90.00 90.00 120.00°
Space group P-3m1 (No. 164)
Unique sites:
Be 0.3333 0.6667 0.2924 (multiplicity 2)
Cu 0.0000 0.0000 0.5000 (multiplicity 1)
Cu 0.3333 0.6667 0.9792 (multiplicity 2)
Pd 0.0000 0.0000 0.1768 (multiplicity 2)
Pd 0.3333 0.6667 0.6187 (multiplicity 2)

The 10 most intense peaks (2θ = 10–90°), low angle first:
(1 0 0), 25.1°, d 3.550, intensity 10; (1 0 1), 27.6°, d 3.231, intensity 30; (1 0 2), 34.2°, d 2.625, intensity 36; (0 1 3), 43.1°, d 2.097, intensity 100; (1 1 0), 44.2°, d 2.049, intensity 93; (2 0 3), 63.5°, d 1.466, intensity 30; (1 1 5), 76.8°, d 1.241, intensity 11; (1 0 6), 78.3°, d 1.221, intensity 11; (1 2 3), 80.6°, d 1.192, intensity 30; (3 0 0), 81.3°, d 1.183, intensity 15



Record 9
For Be2CuPd2, a structure optimized by DFT (PBE) gives the simulated X-ray diffraction stick pattern in this record (λ = 1.5418 Å (Cu Kα)).
Neutral-atom scattering factors, no anomalous dispersion.

Cell and atoms:
Cell: 6.4609 6.4609 2.8108 Å, 90.00 90.00 90.00°
Space group P4/mbm (No. 127)
Unique sites:
Be 0.1294 0.3706 0.0000 (multiplicity 4)
Cu 0.0000 0.0000 0.0000 (multiplicity 2)
Pd 0.1656 0.6656 0.5000 (multiplicity 4)

The 10 most intense peaks (2θ = 10–90°), low angle first:
(2 1 0), 30.9°, d 2.889, intensity 100; (0 0 1), 31.8°, d 2.811, intensity 18; (1 1 1), 37.6°, d 2.394, intensity 35; (2 2 0), 39.4°, d 2.284, intensity 16; (2 0 1), 42.6°, d 2.120, intensity 53; (3 1 0), 44.3°, d 2.043, intensity 53; (2 1 1), 45.0°, d 2.015, intensity 87; (4 1 0), 58.9°, d 1.567, intensity 16; (4 1 1), 68.6°, d 1.369, intensity 21; (3 3 1), 70.3°, d 1.339, intensity 29



Record 10
For BeCu5Pd6, a structure optimized by DFT (PBE) gives the simulated X-ray diffraction stick pattern in this record (λ = 1.5418 Å (Cu Kα)).
Neutral-atom scattering factors, no anomalous dispersion.

Cell and atoms:
Cell: 4.2335 12.6917 5.9807 Å, 90.00 90.00 90.00°
Space group Cmmm (No. 65)
Unique sites:
Be 0.0000 0.0000 0.0000 (multiplicity 2)
Cu 0.0000 0.0000 0.5000 (multiplicity 2)
Cu 0.0000 0.3274 0.0000 (multiplicity 4)
Cu 0.0000 0.3315 0.5000 (multiplicity 4)
Pd 0.0000 0.1594 0.2435 (multiplicity 8)
Pd 0.0000 0.5000 0.2360 (multiplicity 4)

The 10 most intense peaks (2θ = 10–90°), low angle first:
(1 1 1), 26.7°, d 3.334, intensity 1; (1 3 0), 29.9°, d 2.992, intensity 12; (0 2 2), 33.1°, d 2.705, intensity 1; (1 3 1), 33.5°, d 2.676, intensity 1; (1 5 0), 41.5°, d 2.177, intensity 1; (2 0 0), 42.7°, d 2.116, intensity 100; (2 0 2), 53.0°, d 1.727, intensity 3; (2 6 0), 62.0°, d 1.496, intensity 16; (3 3 0), 70.4°, d 1.338, intensity 4; (3 3 2), 78.3°, d 1.221, intensity 30



Record 11
For Pm2Be3CuSi4, a structure optimized by DFT (PBE) gives the simulated X-ray diffraction stick pattern in this record (λ = 1.5418 Å (Cu Kα)).
Neutral-atom scattering factors, no anomalous dispersion.

Cell and atoms:
Cell: 3.9883 3.9883 9.7029 Å, 90.00 90.00 90.00°
Space group P-4m2 (No. 115)
Unique sites:
Pm 0.0000 0.5000 0.2473 (multiplicity 2)
Be 0.0000 0.5000 0.8715 (multiplicity 2)
Be 0.5000 0.5000 0.5000 (multiplicity 1)
Cu 0.0000 0.0000 0.5000 (multiplicity 1)
Si 0.0000 0.0000 0.0000 (multiplicity 1)
Si 0.0000 0.5000 0.6352 (multiplicity 2)
Si 0.5000 0.5000 0.0000 (multiplicity 1)

The 10 most intense peaks (2θ = 10–90°), low angle first:
(0 0 2), 18.3°, d 4.851, intensity 20; (1 0 1), 24.1°, d 3.689, intensity 97; (1 1 0), 31.7°, d 2.820, intensity 21; (1 0 3), 35.7°, d 2.512, intensity 67; (1 1 2), 36.9°, d 2.438, intensity 100; (2 0 0), 45.5°, d 1.994, intensity 35; (2 1 1), 52.1°, d 1.754, intensity 25; (1 0 5), 52.4°, d 1.745, intensity 25; (2 1 3), 59.2°, d 1.562, intensity 31; (3 1 2), 78.3°, d 1.221, intensity 22



Record 12
For BeCuPt, a structure optimized by DFT (PBE) gives the simulated X-ray diffraction stick pattern in this record (λ = 1.5418 Å (Cu Kα)).
Neutral-atom scattering factors, no anomalous dispersion.

Cell and atoms:
Cell: 5.3110 5.3110 9.7619 Å, 90.00 90.00 120.00°
Space group P6_222 (No. 180)
Unique sites:
Be 0.2288 0.6144 0.1667 (multiplicity 6)
Cu 0.0000 0.0000 0.1667 (multiplicity 3)
Cu 0.0000 0.5000 0.6667 (multiplicity 3)
Pt 0.0000 0.5000 0.3714 (multiplicity 6)

The 10 most intense peaks (2θ = 10–90°), low angle first:
(1 0 0), 19.3°, d 4.599, intensity 17; (1 0 2), 26.6°, d 3.347, intensity 55; (0 0 3), 27.4°, d 3.254, intensity 24; (1 0 3), 33.7°, d 2.656, intensity 40; (1 1 2), 38.6°, d 2.333, intensity 22; (2 0 0), 39.2°, d 2.300, intensity 100; (1 1 3), 44.0°, d 2.057, intensity 21; (2 0 3), 48.5°, d 1.878, intensity 35; (1 0 5), 50.8°, d 1.797, intensity 24; (2 2 0), 71.0°, d 1.328, intensity 21